(1)
The following is a computed powder X-ray diffraction pattern of CaAs3. It was derived from the PBE geometry in the Materials Project, using Cu Kα, 1.54184 Å.

Crystal structure
Unit cell a=5.8813 b=5.9268 c=5.9902 alpha=80.10 beta=70.65 gamma=75.48
Space group P-1 (No. 2)
Unique sites:
Ca 0.1606 0.1839 0.1321
As 0.2791 0.0892 0.5994
As 0.2791 0.5119 0.5158
As 0.3103 0.6449 0.0917

Principal peaks in the range 2θ from 10° to 80°, sorted by position:
21.20°, rel. 34.4; 31.08°, rel. 100.0; 31.40°, rel. 32.4; 31.70°, rel. 39.3; 31.82°, rel. 31.5; 32.24°, rel. 83.2; 33.01°, rel. 83.8; 33.79°, rel. 42.4; 38.56°, rel. 30.7; 47.54°, rel. 37.8; 51.09°, rel. 25.6; 57.05°, rel. 25.9

---

(2)
The following is a computed powder X-ray diffraction pattern of Ca3As2. It was derived from the PBE geometry in the Materials Project, using Cu Kα, 1.54184 Å.

Crystal structure
Unit cell a=5.4470 b=5.4470 c=5.4470 alpha=90.00 beta=90.00 gamma=90.00
Space group Pm-3m (No. 221)
Unique sites:
Ca 0.0000 0.0000 0.5000
As 0.0000 0.0000 0.0000
As 0.5000 0.5000 0.5000

Principal peaks in the range 2θ from 10° to 80°, sorted by position:
16.27°, rel. 14.1; 23.09°, rel. 77.8; 28.38°, rel. 41.0; 32.89°, rel. 100.0; 40.57°, rel. 35.9; 47.20°, rel. 69.2; 53.17°, rel. 16.5; 55.99°, rel. 15.4; 58.72°, rel. 23.2; 63.95°, rel. 19.1; 68.96°, rel. 10.5; 78.54°, rel. 28.6

---

(3)
The following is a computed powder X-ray diffraction pattern of Ca2As3. It was derived from the PBE geometry in the Materials Project, using Cu Kα, 1.54184 Å.

Crystal structure
Unit cell a=12.0368 b=5.8584 c=18.1828 alpha=90.00 beta=130.64 gamma=90.00
Space group P2/c (No. 13)
Unique sites:
Ca 0.0000 0.0399 0.2500
Ca 0.1335 0.2599 0.5091
Ca 0.2409 0.4520 0.2489
Ca 0.3754 0.2456 0.0008
Ca 0.5000 0.0915 0.2500
As 0.0749 0.4533 0.8419
As 0.1571 0.0498 0.6710
As 0.1883 0.2258 0.0777
As 0.2863 0.2683 0.4225
As 0.3941 0.0968 0.8450
As 0.4518 0.3970 0.6645

Principal peaks in the range 2θ from 10° to 80°, sorted by position:
21.16°, rel. 95.3; 32.29°, rel. 62.6; 32.64°, rel. 61.4; 33.23°, rel. 92.3; 33.46°, rel. 49.2; 33.79°, rel. 44.6; 34.68°, rel. 89.9; 35.97°, rel. 45.3; 39.20°, rel. 41.6; 43.09°, rel. 100.0; 44.75°, rel. 38.9; 45.14°, rel. 41.4

---

(4)
The following is a computed powder X-ray diffraction pattern of Ca2CdAs2. It was derived from the PBE geometry in the Materials Project, using Cu Kα, 1.54184 Å.

Crystal structure
Unit cell a=21.6855 b=4.3296 c=14.4886 alpha=90.00 beta=109.95 gamma=90.00
Space group Cm (No. 8)
Unique sites:
Ca 0.0000 0.0000 0.0000
Ca 0.0087 0.0000 0.2429
Ca 0.0424 0.0000 0.5146
Ca 0.0682 0.0000 0.7869
Ca 0.1713 0.0000 0.1734
Ca 0.2040 0.5000 0.5967
Ca 0.2319 0.5000 0.8638
Ca 0.2992 0.0000 0.4305
Ca 0.3300 0.0000 0.1532
Ca 0.3753 0.5000 0.7515
Cd 0.1128 0.5000 0.9833
Cd 0.1592 0.5000 0.3346
Cd 0.3672 0.0000 0.9280
Cd 0.3945 0.5000 0.3659
Cd 0.4599 0.0000 0.6355
As 0.0673 0.5000 0.1445
As 0.0911 0.5000 0.6654
As 0.1587 0.0000 0.4403
As 0.1847 0.0000 0.9758
As 0.2669 0.5000 0.2595
As 0.2755 0.0000 0.7440
As 0.3767 0.5000 0.0436
As 0.3865 0.5000 0.5558
As 0.4642 0.0000 0.3452
As 0.4800 0.0000 0.8471

Principal peaks in the range 2θ from 10° to 80°, sorted by position:
25.15°, rel. 37.9; 27.77°, rel. 35.0; 29.16°, rel. 36.4; 31.65°, rel. 62.3; 32.44°, rel. 48.4; 34.82°, rel. 100.0; 34.96°, rel. 87.2; 37.21°, rel. 66.7; 41.72°, rel. 95.9; 43.75°, rel. 49.5; 43.90°, rel. 33.5; 44.98°, rel. 59.0